# Cs5KRb
Theoretical powder X-ray diffraction pattern, Cu Kα, 1.54184 Å. Input: a GGA-PBE-relaxed structure.

Largest 10 diffraction maxima, in order of rising 2θ, 2θ = 10–90°:
- (0 6 1), 2θ = 18.4°, intensity 246
- (1 5 1), 2θ = 19.2°, intensity 170
- (0 4 2), 2θ = 20.2°, intensity 142
- (2 2 0), 2θ = 20.4°, intensity 460
- (1 3 -2), 2θ = 20.6°, intensity 1000
- (1 7 0), 2θ = 21.4°, intensity 351
- (1 7 1), 2θ = 23.4°, intensity 193
- (1 5 2), 2θ = 24.6°, intensity 240
- (3 3 2), 2θ = 36.6°, intensity 243
- (2 0 4), 2θ = 41.4°, intensity 132

Atomic structure:
a = 9.077 Å, b = 32.721 Å, c = 10.452 Å
α = 90.00°, β = 94.86°, γ = 90.00°
Space group C2/c (No. 15)
Symmetry-distinct sites (fractional):
Cs 0.000 0.142 0.250 x4
Cs 0.001 0.299 0.489 x8
Cs 0.239 0.039 0.622 x8
K 0.000 0.418 0.750 x4
Rb 0.000 0.169 0.750 x4